[1]
Diffraction record for RbMgCd2Sb. The powder diffraction line list is simulated, not measured: it uses a cell relaxed with GGA-PBE and Cu Kα (λ = 1.5418 Å).
No peak broadening, texture or thermal motion is included.

Cell and atoms:
Cell: 5.4070 5.4070 6.1638 Å, 90.00 90.00 90.00°
Space group P4/mmm (No. 123)
Inequivalent atoms, fractional coordinates:
Rb1 0.0000 0.0000 0.0000 x1
Mg1 0.0000 0.0000 0.5000 x1
Cd1 0.0000 0.5000 0.5000 x2
Sb1 0.5000 0.5000 0.0000 x1

Largest 10 diffraction maxima, sorted by position, 10 to 90 degrees two-theta:
Position (°2θ)  I_rel  index
27.5  100  1 1 1
29.0  28  0 0 2
33.1  39  2 0 0
44.6  33  2 0 2
47.6  14  2 2 0
50.4  18  1 1 3
55.8  26  3 1 1
56.7  16  2 2 2
71.8  12  3 1 3
86.5  10  4 2 2

***

[2]
Diffraction record for Y6Bi3Pb. The powder diffraction line list is simulated, not measured: it uses a cell relaxed with GGA-PBE and Cu Kα (λ = 1.5418 Å).
No peak broadening, texture or thermal motion is included.

Cell and atoms:
Cell: 11.2034 15.2120 7.7134 Å, 90.00 90.00 90.00°
Space group Cmc2_1 (No. 36)
Inequivalent atoms, fractional coordinates:
Y1 0.0000 0.0064 0.0000 x4
Y2 0.0000 0.2504 0.8748 x4
Y3 0.1763 0.4442 0.8839 x8
Y4 0.1945 0.2741 0.4932 x8
Bi1 0.0000 0.4200 0.5719 x4
Bi2 0.1843 0.1003 0.7259 x8
Pb1 0.0000 0.1703 0.2494 x4

Largest 10 diffraction maxima, sorted by position, 10 to 90 degrees two-theta:
Position (°2θ)  I_rel  index
22.4  33  1 3 1
22.8  100  2 2 1
27.2  32  3 1 1
30.5  55  2 2 2
30.7  25  2 4 1
31.9  76  3 3 1
33.1  34  0 4 2
33.9  30  3 1 2
38.2  37  3 5 0
42.4  34  0 4 3

***

Q: Which formula does entry 1 have?
A: RbMgCd2Sb